Entry 1:
Diffraction record for PrYHo3. The powder diffractogram is simulated, not measured: it uses the PBE geometry in Alexandria and a wavelength of 1.5418 Å.
Kinematic intensities with the Lorentz-polarization factor, no thermal factor.

Cell: 6.2881 5.7045 9.6107 Å, 90.00 109.02 90.00°
Space group P2_1/m (No. 11)
Unique sites:
Pr: 0.0670 0.2500 0.2999 (multiplicity 2)
Y: 0.4652 0.2500 0.0994 (multiplicity 2)
Ho: 0.1331 0.7500 0.0992 (multiplicity 2)
Ho: 0.2666 0.2500 0.7003 (multiplicity 2)
Ho: 0.3354 0.7500 0.4987 (multiplicity 2)

Top 6 peaks for 2θ from 15° to 90°, low angle first:
2θ/deg  intensity  index
28.37  24  1 0 -3
31.36  24  0 2 0
32.50  100  2 1 -1
50.23  20  3 0 1
56.55  21  2 3 -1
60.43  23  3 2 1

=====

Entry 2:
Diffraction record for Pr3Y4Ho4. The powder diffractogram is simulated, not measured: it uses the PBE geometry in Alexandria and a wavelength of 1.5418 Å.
Kinematic intensities with the Lorentz-polarization factor, no thermal factor.

Cell: 10.6681 5.7408 12.0953 Å, 90.00 90.00 90.00°
Space group Amm2 (No. 38)
Unique sites:
Pr: 0.0000 0.0000 0.0000 (multiplicity 2)
Pr: 0.2970 0.0000 0.1473 (multiplicity 4)
Y: 0.0000 0.0000 0.3013 (multiplicity 2)
Y: 0.2900 0.0000 0.8438 (multiplicity 4)
Y: 0.5000 0.0000 0.3624 (multiplicity 2)
Ho: 0.0000 0.0000 0.7000 (multiplicity 2)
Ho: 0.2147 0.0000 0.4994 (multiplicity 4)
Ho: 0.5000 0.0000 0.6347 (multiplicity 2)

Top 6 peaks for 2θ from 15° to 90°, low angle first:
2θ/deg  intensity  index
30.48  30  3 1 1
30.73  15  1 0 4
31.16  36  0 2 0
31.89  100  2 1 3
33.60  16  4 0 0
55.91  20  2 3 3